# 1
Diffraction record for Cu3Mo2H2O10. The XRD peak list is computed, not measured: it uses DFT lattice parameters and positions (GGA+U) and Cu Kα, 1.54184 Å.
Kinematic intensities with the Lorentz-polarization factor, no thermal factor.

The 12 most intense peaks (10° ≤ 2θ ≤ 90°), in order of rising 2θ:
2θ (°)	Rel. int.
12.63	31
21.04	45
22.53	23
24.20	100
24.55	18
25.09	63
31.48	42
34.54	20
34.82	27
37.29	18
46.28	15
51.97	21

Cell and atoms:
```
Cu3Mo2H2O10
1.0
5.737 0.000 0.000
-0.409 5.854 0.000
-1.829 -3.027 7.008
Cu Mo H O
3 2 2 10
direct
0.000 0.000 0.000
0.415 0.752 0.862
0.585 0.248 0.138
0.207 0.678 0.305
0.793 0.322 0.695
0.206 0.948 0.663
0.794 0.052 0.337
0.053 0.558 0.822
0.177 0.929 0.233
0.234 0.791 0.570
0.293 0.057 0.942
0.473 0.552 0.261
0.527 0.448 0.739
0.707 0.943 0.058
0.766 0.209 0.430
0.823 0.071 0.767
0.947 0.442 0.178
```

# 2
Diffraction record for LiMnP3O9. The XRD peak list is computed, not measured: it uses DFT lattice parameters and positions (GGA+U) and Cu Kα, 1.54184 Å.
Kinematic intensities with the Lorentz-polarization factor, no thermal factor.

The 12 most intense peaks (10° ≤ 2θ ≤ 90°), in order of rising 2θ:
2θ (°)	Rel. int.
13.83	100
14.51	43
16.09	58
18.33	22
21.83	33
23.03	23
23.35	59
26.32	25
27.69	16
32.50	24
32.72	30
35.96	23

Cell and atoms:
```
LiMnP3O9
1.0
5.273 0.000 0.000
0.000 12.206 0.000
0.000 0.000 12.809
Li Mn P O
4 4 12 36
direct
0.057 0.111 0.250
0.057 0.389 0.750
0.943 0.611 0.250
0.943 0.889 0.750
0.000 0.000 0.000
0.000 0.000 0.500
0.000 0.500 0.000
0.000 0.500 0.500
0.240 0.750 0.000
0.240 0.750 0.500
0.496 0.082 0.636
0.496 0.082 0.864
0.496 0.418 0.136
0.496 0.418 0.364
0.504 0.582 0.636
0.504 0.582 0.864
0.504 0.918 0.136
0.504 0.918 0.364
0.760 0.250 0.000
0.760 0.250 0.500
0.097 0.666 0.063
0.097 0.666 0.437
0.097 0.834 0.563
0.097 0.834 0.937
0.217 0.060 0.630
0.217 0.060 0.870
0.217 0.440 0.130
0.217 0.440 0.370
0.320 0.009 0.110
0.320 0.009 0.390
0.320 0.491 0.610
0.320 0.491 0.890
0.435 0.628 0.750
0.435 0.872 0.250
0.445 0.692 0.574
0.445 0.692 0.926
0.445 0.808 0.074
0.445 0.808 0.426
0.555 0.192 0.574
0.555 0.192 0.926
0.555 0.308 0.074
0.555 0.308 0.426
0.565 0.128 0.750
0.565 0.372 0.250
0.680 0.509 0.110
0.680 0.509 0.390
0.680 0.991 0.610
0.680 0.991 0.890
0.783 0.560 0.630
0.783 0.560 0.870
0.783 0.940 0.130
0.783 0.940 0.370
0.903 0.166 0.063
0.903 0.166 0.437
0.903 0.334 0.563
0.903 0.334 0.937
```

# 3
Diffraction record for Mn3Cr2SnP6O24. The XRD peak list is computed, not measured: it uses DFT lattice parameters and positions (GGA+U) and Cu Kα, 1.54184 Å.
Kinematic intensities with the Lorentz-polarization factor, no thermal factor.

The 12 most intense peaks (10° ≤ 2θ ≤ 90°), in order of rising 2θ:
2θ (°)	Rel. int.
20.37	100
20.83	22
24.16	100
31.64	16
33.14	81
35.67	51
44.59	15
47.47	28
49.48	34
55.79	27
56.57	13
62.48	29

Cell and atoms:
```
Mn3Cr2SnP6O24
1.0
4.360 2.517 6.890
-4.360 2.517 6.890
0.000 -5.034 6.890
Mn Cr Sn P O
3 2 1 6 24
direct
0.000 0.000 0.000
0.205 0.205 0.205
0.707 0.707 0.707
0.350 0.350 0.350
0.853 0.853 0.853
0.499 0.499 0.499
0.099 0.805 0.404
0.300 0.605 0.906
0.404 0.099 0.805
0.605 0.906 0.300
0.805 0.404 0.099
0.906 0.300 0.605
0.028 0.839 0.256
0.100 0.756 0.917
0.106 0.287 0.447
0.173 0.954 0.367
0.256 0.028 0.839
0.259 0.600 0.417
0.287 0.447 0.106
0.339 0.531 0.753
0.367 0.173 0.954
0.417 0.259 0.600
0.447 0.106 0.287
0.456 0.671 0.864
0.531 0.753 0.339
0.600 0.417 0.259
0.607 0.947 0.789
0.671 0.864 0.456
0.753 0.339 0.531
0.756 0.917 0.100
0.789 0.607 0.947
0.839 0.256 0.028
0.864 0.456 0.671
0.917 0.100 0.756
0.947 0.789 0.607
0.954 0.367 0.173
```

# 4
Diffraction record for Li2Mn3SbO8. The XRD peak list is computed, not measured: it uses DFT lattice parameters and positions (GGA+U) and Cu Kα, 1.54184 Å.
Kinematic intensities with the Lorentz-polarization factor, no thermal factor.

The 12 most intense peaks (10° ≤ 2θ ≤ 90°), in order of rising 2θ:
2θ (°)	Rel. int.
19.26	100
24.92	32
32.32	37
34.94	48
35.58	29
39.09	13
44.41	29
46.96	12
51.12	12
54.30	20
58.91	25
61.52	22

Cell and atoms:
```
Li2Mn3SbO8
1.0
6.030 0.000 0.000
-3.015 5.222 0.000
0.000 0.000 9.803
Li Mn Sb O
4 6 2 16
direct
0.000 0.000 0.000
0.000 0.000 0.500
0.333 0.667 0.419
0.667 0.333 0.919
0.160 0.822 0.727
0.178 0.339 0.727
0.339 0.178 0.227
0.661 0.840 0.727
0.822 0.160 0.227
0.840 0.661 0.227
0.333 0.667 0.999
0.667 0.333 0.499
0.000 0.000 0.310
0.000 0.000 0.810
0.037 0.479 0.864
0.143 0.807 0.105
0.193 0.335 0.105
0.333 0.667 0.632
0.335 0.193 0.605
0.443 0.963 0.864
0.479 0.037 0.364
0.521 0.557 0.864
0.557 0.521 0.364
0.665 0.857 0.105
0.667 0.333 0.132
0.807 0.143 0.605
0.857 0.665 0.605
0.963 0.443 0.364
```

# 5
Diffraction record for ZnCu3W4O12. The XRD peak list is computed, not measured: it uses DFT lattice parameters and positions (GGA+U) and Cu Kα, 1.54184 Å.
Kinematic intensities with the Lorentz-polarization factor, no thermal factor.

The 12 most intense peaks (10° ≤ 2θ ≤ 90°), in order of rising 2θ:
2θ (°)	Rel. int.
22.97	21
23.10	41
32.76	100
32.87	66
32.99	33
46.93	16
47.22	31
53.04	14
58.43	15
58.57	23
58.71	22
58.82	22

Cell and atoms:
```
ZnCu3W4O12
1.0
6.668 0.000 0.000
-2.172 6.306 0.000
-2.224 -3.133 5.460
Zn Cu W O
1 3 4 12
direct
0.000 0.000 0.000
0.000 0.500 0.500
0.500 0.000 0.500
0.500 0.500 0.000
0.000 0.000 0.500
0.000 0.500 0.000
0.500 0.000 0.000
0.500 0.500 0.500
0.105 0.288 0.802
0.190 0.479 0.312
0.192 0.889 0.711
0.299 0.817 0.118
0.300 0.180 0.481
0.481 0.305 0.175
0.519 0.695 0.825
0.700 0.820 0.519
0.701 0.183 0.882
0.808 0.111 0.289
0.810 0.521 0.688
0.895 0.712 0.198
```

# 6
Diffraction record for FeOF. The XRD peak list is computed, not measured: it uses DFT lattice parameters and positions (GGA+U) and Cu Kα, 1.54184 Å.
Kinematic intensities with the Lorentz-polarization factor, no thermal factor.

The 12 most intense peaks (10° ≤ 2θ ≤ 90°), in order of rising 2θ:
2θ (°)	Rel. int.
26.62	88
26.80	88
34.59	100
39.59	14
39.71	17
52.32	51
52.52	52
55.22	16
59.57	18
66.43	22
66.54	14
66.74	20

Cell and atoms:
```
FeOF
1.0
4.713 0.000 0.000
0.000 3.104 0.000
-0.091 0.000 14.184
Fe O F
6 6 6
direct
0.000 0.000 0.000
0.002 0.000 0.668
0.488 0.500 0.185
0.493 0.500 0.519
0.511 0.500 0.815
0.990 0.000 0.326
0.188 0.500 0.733
0.300 0.000 0.235
0.305 0.000 0.568
0.700 0.000 0.768
0.805 0.500 0.272
0.813 0.500 0.604
0.198 0.500 0.403
0.214 0.500 0.069
0.310 0.000 0.900
0.692 0.000 0.103
0.696 0.000 0.438
0.782 0.500 0.934
```

# 7
Diffraction record for Sr3LaCo2O8. The XRD peak list is computed, not measured: it uses DFT lattice parameters and positions (GGA+U) and Cu Kα, 1.54184 Å.
Kinematic intensities with the Lorentz-polarization factor, no thermal factor.

The 12 most intense peaks (10° ≤ 2θ ≤ 90°), in order of rising 2θ:
2θ (°)	Rel. int.
24.33	10
31.58	100
32.99	35
33.31	34
42.83	29
43.93	13
44.18	13
47.59	37
56.23	12
58.03	18
58.45	18
65.93	15

Cell and atoms:
```
Sr3LaCo2O8
1.0
5.379 0.000 0.000
0.000 2.715 6.334
0.000 -2.715 6.334
Sr La Co O
3 1 2 8
direct
0.000 0.000 0.000
0.000 0.287 0.287
0.500 0.788 0.788
0.500 0.502 0.502
0.000 0.647 0.647
0.500 0.147 0.147
0.000 0.485 0.485
0.000 0.802 0.802
0.251 0.400 0.883
0.251 0.883 0.400
0.500 0.315 0.315
0.500 0.982 0.982
0.749 0.400 0.883
0.749 0.883 0.400
```

Repeat the seventh record exactly.
Diffraction record for Sr3LaCo2O8. The XRD peak list is computed, not measured: it uses DFT lattice parameters and positions (GGA+U) and Cu Kα, 1.54184 Å.
Kinematic intensities with the Lorentz-polarization factor, no thermal factor.

The 12 most intense peaks (10° ≤ 2θ ≤ 90°), in order of rising 2θ:
2θ (°)	Rel. int.
24.33	10
31.58	100
32.99	35
33.31	34
42.83	29
43.93	13
44.18	13
47.59	37
56.23	12
58.03	18
58.45	18
65.93	15

Cell and atoms:
```
Sr3LaCo2O8
1.0
5.379 0.000 0.000
0.000 2.715 6.334
0.000 -2.715 6.334
Sr La Co O
3 1 2 8
direct
0.000 0.000 0.000
0.000 0.287 0.287
0.500 0.788 0.788
0.500 0.502 0.502
0.000 0.647 0.647
0.500 0.147 0.147
0.000 0.485 0.485
0.000 0.802 0.802
0.251 0.400 0.883
0.251 0.883 0.400
0.500 0.315 0.315
0.500 0.982 0.982
0.749 0.400 0.883
0.749 0.883 0.400
```

> What is the formula in the third record?

Mn3Cr2SnP6O24